(1)
# Sm2BRh4
Calculated powder diffraction line list, a wavelength of 1.5418 Å. Input: a DFT-relaxed cell (PBE, Alexandria).
Peak positions follow from Bragg's law for the DFT cell and can differ from measured ones.

Atomic structure:
```
data_Sm2BRh4
_chemical_formula_sum 'Sm2 B1 Rh4'
_symmetry_space_group_name_H-M 'P 1'
_symmetry_Int_Tables_number 1
_cell_length_a 7.6405
_cell_length_b 7.6405
_cell_length_c 7.6405
_cell_angle_alpha 147.81
_cell_angle_beta 147.81
_cell_angle_gamma 46.16
loop_
_symmetry_equiv_pos_as_xyz
'x,y,z'
loop_
_atom_site_label
_atom_site_type_symbol
_atom_site_fract_x
_atom_site_fract_y
_atom_site_fract_z
Sm1 Sm 0.1520 0.1520 0.0000
Sm2 Sm 0.8480 0.8480 0.0000
B1 B 0.5000 0.5000 0.0000
Rh1 Rh 0.0000 0.5000 0.5000
Rh2 Rh 0.3548 0.3548 0.0000
Rh3 Rh 0.5000 0.0000 0.5000
Rh4 Rh 0.6452 0.6452 0.0000
```

Largest 12 diffraction maxima, sorted by position, 10° ≤ 2θ ≤ 80°:
| 2θ/deg | I/Imax |
| --- | --- |
| 25.34 | 8.1 |
| 29.83 | 26.3 |
| 32.49 | 56.4 |
| 38.42 | 27.5 |
| 39.53 | 100.0 |
| 42.69 | 55.4 |
| 58.77 | 31.0 |
| 61.96 | 18.1 |
| 71.72 | 11.1 |
| 74.57 | 19.4 |
| 75.31 | 14.7 |
| 76.03 | 28.7 |

---

(2)
# Sm3BRh4
Calculated powder diffraction line list, a wavelength of 1.5418 Å. Input: a DFT-relaxed cell (PBE, Alexandria).
Peak positions follow from Bragg's law for the DFT cell and can differ from measured ones.

Atomic structure:
```
data_Sm3BRh4
_chemical_formula_sum 'Sm3 B1 Rh4'
_symmetry_space_group_name_H-M 'P 1'
_symmetry_Int_Tables_number 1
_cell_length_a 5.9924
_cell_length_b 5.9924
_cell_length_c 5.9924
_cell_angle_alpha 124.55
_cell_angle_beta 105.25
_cell_angle_gamma 99.77
loop_
_symmetry_equiv_pos_as_xyz
'x,y,z'
loop_
_atom_site_label
_atom_site_type_symbol
_atom_site_fract_x
_atom_site_fract_y
_atom_site_fract_z
Sm1 Sm 0.0000 0.0000 0.0000
Sm2 Sm 0.3765 0.6181 0.7584
Sm3 Sm 0.8597 0.6181 0.2416
B1 B 0.5509 0.0509 0.5000
Rh1 Rh 0.3529 0.1037 0.7508
Rh2 Rh 0.3529 0.6020 0.2492
Rh3 Rh 0.5709 0.2549 0.3160
Rh4 Rh 0.9388 0.2549 0.6840
```

Largest 12 diffraction maxima, sorted by position, 10° ≤ 2θ ≤ 80°:
| 2θ/deg | I/Imax |
| --- | --- |
| 30.73 | 38.1 |
| 31.57 | 100.0 |
| 32.11 | 33.6 |
| 33.86 | 79.1 |
| 36.42 | 63.8 |
| 37.05 | 30.3 |
| 38.52 | 63.2 |
| 38.93 | 30.5 |
| 39.89 | 43.4 |
| 40.78 | 40.8 |
| 46.17 | 34.9 |
| 67.20 | 25.7 |

---

(3)
# SnBRh3
Calculated powder diffraction line list, a wavelength of 1.5418 Å. Input: a DFT-relaxed cell (PBE, Alexandria).
Peak positions follow from Bragg's law for the DFT cell and can differ from measured ones.

Atomic structure:
```
data_SnBRh3
_chemical_formula_sum 'Sn2 B2 Rh6'
_symmetry_space_group_name_H-M 'P 1'
_symmetry_Int_Tables_number 1
_cell_length_a 6.2645
_cell_length_b 6.2645
_cell_length_c 6.2645
_cell_angle_alpha 53.14
_cell_angle_beta 53.14
_cell_angle_gamma 53.14
loop_
_symmetry_equiv_pos_as_xyz
'x,y,z'
loop_
_atom_site_label
_atom_site_type_symbol
_atom_site_fract_x
_atom_site_fract_y
_atom_site_fract_z
Sn1 Sn 0.1062 0.1062 0.1062
Sn2 Sn 0.8938 0.8938 0.8938
B1 B 0.3305 0.3305 0.3305
B2 B 0.6695 0.6695 0.6695
Rh1 Rh 0.0945 0.5848 0.5848
Rh2 Rh 0.4152 0.4152 0.9055
Rh3 Rh 0.4152 0.9055 0.4152
Rh4 Rh 0.5848 0.0945 0.5848
Rh5 Rh 0.5848 0.5848 0.0945
Rh6 Rh 0.9055 0.4152 0.4152
```

Largest 12 diffraction maxima, sorted by position, 10° ≤ 2θ ≤ 80°:
| 2θ/deg | I/Imax |
| --- | --- |
| 16.53 | 9.1 |
| 33.41 | 52.0 |
| 37.48 | 100.0 |
| 38.76 | 19.3 |
| 43.55 | 48.4 |
| 46.89 | 71.3 |
| 55.02 | 15.4 |
| 66.77 | 27.8 |
| 70.17 | 17.3 |
| 75.95 | 12.7 |
| 76.75 | 27.5 |
| 79.16 | 13.5 |

---

(4)
# SnBRh3
Calculated powder diffraction line list, a wavelength of 1.5418 Å. Input: a DFT-relaxed cell (PBE, Alexandria).
Peak positions follow from Bragg's law for the DFT cell and can differ from measured ones.

Atomic structure:
```
data_SnBRh3
_chemical_formula_sum 'Sn2 B2 Rh6'
_symmetry_space_group_name_H-M 'P 1'
_symmetry_Int_Tables_number 1
_cell_length_a 6.0037
_cell_length_b 6.0037
_cell_length_c 4.5205
_cell_angle_alpha 90.00
_cell_angle_beta 90.00
_cell_angle_gamma 120.00
loop_
_symmetry_equiv_pos_as_xyz
'x,y,z'
loop_
_atom_site_label
_atom_site_type_symbol
_atom_site_fract_x
_atom_site_fract_y
_atom_site_fract_z
Sn1 Sn 0.0000 0.0000 0.0000
Sn2 Sn 0.3333 0.6667 0.5000
B1 B 0.6667 0.3333 0.2813
B2 B 0.6667 0.3333 0.7187
Rh1 Rh 0.0015 0.4506 0.0000
Rh2 Rh 0.3116 0.2149 0.5000
Rh3 Rh 0.4492 0.9985 0.0000
Rh4 Rh 0.5494 0.5508 0.0000
Rh5 Rh 0.7851 0.0968 0.5000
Rh6 Rh 0.9032 0.6884 0.5000
```

Largest 12 diffraction maxima, sorted by position, 10° ≤ 2θ ≤ 80°:
| 2θ/deg | I/Imax |
| --- | --- |
| 34.50 | 22.0 |
| 35.91 | 22.2 |
| 39.88 | 27.4 |
| 40.01 | 100.0 |
| 46.19 | 7.9 |
| 53.74 | 14.3 |
| 61.81 | 11.4 |
| 64.63 | 7.1 |
| 68.24 | 8.0 |
| 72.50 | 17.2 |
| 76.16 | 17.6 |
| 78.71 | 8.1 |

---

(5)
# SnB3Rh6
Calculated powder diffraction line list, a wavelength of 1.5418 Å. Input: a DFT-relaxed cell (PBE, Alexandria).
Peak positions follow from Bragg's law for the DFT cell and can differ from measured ones.

Atomic structure:
```
data_SnB3Rh6
_chemical_formula_sum 'Sn1 B3 Rh6'
_symmetry_space_group_name_H-M 'P 1'
_symmetry_Int_Tables_number 1
_cell_length_a 5.9087
_cell_length_b 5.9087
_cell_length_c 5.9087
_cell_angle_alpha 56.21
_cell_angle_beta 56.21
_cell_angle_gamma 56.21
loop_
_symmetry_equiv_pos_as_xyz
'x,y,z'
loop_
_atom_site_label
_atom_site_type_symbol
_atom_site_fract_x
_atom_site_fract_y
_atom_site_fract_z
Sn1 Sn 0.0000 0.0000 0.0000
B1 B 0.2060 0.2060 0.2060
B2 B 0.5414 0.5414 0.5414
B3 B 0.7390 0.7390 0.7390
Rh1 Rh 0.1345 0.4803 0.8087
Rh2 Rh 0.4266 0.9718 0.5175
Rh3 Rh 0.4803 0.8087 0.1345
Rh4 Rh 0.5175 0.4266 0.9718
Rh5 Rh 0.8087 0.1345 0.4803
Rh6 Rh 0.9718 0.5175 0.4266
```

Largest 12 diffraction maxima, sorted by position, 10° ≤ 2θ ≤ 80°:
| 2θ/deg | I/Imax |
| --- | --- |
| 32.16 | 17.0 |
| 36.24 | 47.3 |
| 37.04 | 100.0 |
| 37.81 | 40.8 |
| 39.29 | 38.5 |
| 44.81 | 27.0 |
| 48.61 | 18.0 |
| 49.22 | 21.4 |
| 57.33 | 14.3 |
| 65.71 | 20.0 |
| 69.74 | 11.0 |
| 70.25 | 26.9 |

---

(6)
# Sn5B2Rh6
Calculated powder diffraction line list, a wavelength of 1.5418 Å. Input: a DFT-relaxed cell (PBE, Alexandria).
Peak positions follow from Bragg's law for the DFT cell and can differ from measured ones.

Atomic structure:
```
data_Sn5B2Rh6
_chemical_formula_sum 'Sn5 B2 Rh6'
_symmetry_space_group_name_H-M 'P 1'
_symmetry_Int_Tables_number 1
_cell_length_a 6.6733
_cell_length_b 6.6733
_cell_length_c 5.6213
_cell_angle_alpha 90.00
_cell_angle_beta 90.00
_cell_angle_gamma 120.00
loop_
_symmetry_equiv_pos_as_xyz
'x,y,z'
loop_
_atom_site_label
_atom_site_type_symbol
_atom_site_fract_x
_atom_site_fract_y
_atom_site_fract_z
Sn1 Sn 0.0000 0.5959 0.0000
Sn2 Sn 0.3333 0.6667 0.5000
Sn3 Sn 0.4041 0.4041 0.0000
Sn4 Sn 0.5959 0.0000 0.0000
Sn5 Sn 0.6667 0.3333 0.5000
B1 B 0.0000 0.0000 0.0000
B2 B 0.0000 0.0000 0.5000
Rh1 Rh 0.0000 0.2512 0.2532
Rh2 Rh 0.0000 0.2512 0.7468
Rh3 Rh 0.2512 0.0000 0.2532
Rh4 Rh 0.2512 0.0000 0.7468
Rh5 Rh 0.7488 0.7488 0.2532
Rh6 Rh 0.7488 0.7488 0.7468
```

Largest 12 diffraction maxima, sorted by position, 10° ≤ 2θ ≤ 80°:
| 2θ/deg | I/Imax |
| --- | --- |
| 26.72 | 13.6 |
| 31.17 | 90.6 |
| 34.91 | 33.7 |
| 35.52 | 44.2 |
| 41.33 | 85.9 |
| 42.03 | 100.0 |
| 44.99 | 14.4 |
| 47.18 | 28.0 |
| 56.31 | 17.5 |
| 66.54 | 12.1 |
| 67.24 | 27.9 |
| 73.73 | 21.5 |

---

(7)
# Th2SnBRh6
Calculated powder diffraction line list, a wavelength of 1.5418 Å. Input: a DFT-relaxed cell (PBE, Alexandria).
Peak positions follow from Bragg's law for the DFT cell and can differ from measured ones.

Atomic structure:
```
data_Th2SnBRh6
_chemical_formula_sum 'Th4 Sn2 B2 Rh12'
_symmetry_space_group_name_H-M 'P 1'
_symmetry_Int_Tables_number 1
_cell_length_a 5.7781
_cell_length_b 8.6209
_cell_length_c 7.4461
_cell_angle_alpha 90.00
_cell_angle_beta 90.00
_cell_angle_gamma 90.00
loop_
_symmetry_equiv_pos_as_xyz
'x,y,z'
loop_
_atom_site_label
_atom_site_type_symbol
_atom_site_fract_x
_atom_site_fract_y
_atom_site_fract_z
Th1 Th 0.2500 0.0146 0.2415
Th2 Th 0.2500 0.4854 0.2415
Th3 Th 0.7500 0.5146 0.7585
Th4 Th 0.7500 0.9854 0.7585
Sn1 Sn 0.2500 0.7500 0.8312
Sn2 Sn 0.7500 0.2500 0.1688
B1 B 0.2500 0.2500 0.6765
B2 B 0.7500 0.7500 0.3235
Rh1 Rh 0.0066 0.2500 0.8828
Rh2 Rh 0.0096 0.7500 0.5161
Rh3 Rh 0.2500 0.0104 0.6402
Rh4 Rh 0.2500 0.4896 0.6402
Rh5 Rh 0.4904 0.7500 0.5161
Rh6 Rh 0.4934 0.2500 0.8828
Rh7 Rh 0.5066 0.7500 0.1172
Rh8 Rh 0.5096 0.2500 0.4839
Rh9 Rh 0.7500 0.5104 0.3598
Rh10 Rh 0.7500 0.9896 0.3598
Rh11 Rh 0.9904 0.2500 0.4839
Rh12 Rh 0.9934 0.7500 0.1172
```

Largest 12 diffraction maxima, sorted by position, 10° ≤ 2θ ≤ 80°:
| 2θ/deg | I/Imax |
| --- | --- |
| 23.89 | 23.0 |
| 28.48 | 78.2 |
| 31.76 | 71.3 |
| 34.89 | 28.0 |
| 35.45 | 33.6 |
| 37.48 | 100.0 |
| 39.49 | 98.3 |
| 40.91 | 29.1 |
| 41.94 | 82.4 |
| 44.97 | 43.0 |
| 58.95 | 52.0 |
| 73.67 | 24.2 |

---

(8)
# Sr3B6Rh8
Calculated powder diffraction line list, a wavelength of 1.5418 Å. Input: a DFT-relaxed cell (PBE, Alexandria).
Peak positions follow from Bragg's law for the DFT cell and can differ from measured ones.

Atomic structure:
```
data_Sr3B6Rh8
_chemical_formula_sum 'Sr3 B6 Rh8'
_symmetry_space_group_name_H-M 'P 1'
_symmetry_Int_Tables_number 1
_cell_length_a 9.9608
_cell_length_b 9.0515
_cell_length_c 5.7491
_cell_angle_alpha 81.29
_cell_angle_beta 63.93
_cell_angle_gamma 34.79
loop_
_symmetry_equiv_pos_as_xyz
'x,y,z'
loop_
_atom_site_label
_atom_site_type_symbol
_atom_site_fract_x
_atom_site_fract_y
_atom_site_fract_z
Sr1 Sr 0.0000 0.0000 0.0000
Sr2 Sr 0.1837 0.1837 0.8163
Sr3 Sr 0.8163 0.8163 0.1837
B1 B 0.1661 0.4958 0.5042
B2 B 0.3350 0.6650 0.3350
B3 B 0.4958 0.1661 0.8339
B4 B 0.5042 0.8339 0.1661
B5 B 0.6650 0.3350 0.6650
B6 B 0.8339 0.5042 0.4958
Rh1 Rh 0.0844 0.0844 0.4156
Rh2 Rh 0.2500 0.2500 0.2500
Rh3 Rh 0.4129 0.4129 0.5871
Rh4 Rh 0.4156 0.4156 0.0844
Rh5 Rh 0.5844 0.5844 0.9156
Rh6 Rh 0.5871 0.5871 0.4129
Rh7 Rh 0.7500 0.7500 0.7500
Rh8 Rh 0.9156 0.9156 0.5844
```

Largest 12 diffraction maxima, sorted by position, 10° ≤ 2θ ≤ 80°:
| 2θ/deg | I/Imax |
| --- | --- |
| 31.18 | 20.9 |
| 31.77 | 43.9 |
| 35.80 | 53.2 |
| 36.07 | 35.3 |
| 36.68 | 100.0 |
| 40.91 | 27.2 |
| 45.19 | 22.6 |
| 48.19 | 15.5 |
| 48.89 | 29.5 |
| 58.95 | 16.7 |
| 64.90 | 20.4 |
| 77.05 | 17.0 |

---

(9)
# Sr5B10Rh14
Calculated powder diffraction line list, a wavelength of 1.5418 Å. Input: a DFT-relaxed cell (PBE, Alexandria).
Peak positions follow from Bragg's law for the DFT cell and can differ from measured ones.

Atomic structure:
```
data_Sr5B10Rh14
_chemical_formula_sum 'Sr5 B10 Rh14'
_symmetry_space_group_name_H-M 'P 1'
_symmetry_Int_Tables_number 1
_cell_length_a 15.3683
_cell_length_b 14.8139
_cell_length_c 5.7117
_cell_angle_alpha 84.61
_cell_angle_beta 73.67
_cell_angle_gamma 21.72
loop_
_symmetry_equiv_pos_as_xyz
'x,y,z'
loop_
_atom_site_label
_atom_site_type_symbol
_atom_site_fract_x
_atom_site_fract_y
_atom_site_fract_z
Sr1 Sr 0.0000 0.0000 0.0000
Sr2 Sr 0.1045 0.1045 0.8955
Sr3 Sr 0.2114 0.2114 0.7886
Sr4 Sr 0.7886 0.7886 0.2114
Sr5 Sr 0.8955 0.8955 0.1045
B1 B 0.1334 0.4625 0.5375
B2 B 0.2335 0.5644 0.4356
B3 B 0.3345 0.6655 0.3345
B4 B 0.4356 0.7665 0.2335
B5 B 0.4625 0.1334 0.8666
B6 B 0.5375 0.8666 0.1334
B7 B 0.5644 0.2335 0.7665
B8 B 0.6655 0.3345 0.6655
B9 B 0.7665 0.4356 0.5644
B10 B 0.8666 0.5375 0.4625
Rh1 Rh 0.0508 0.0508 0.4492
Rh2 Rh 0.1516 0.1516 0.3484
Rh3 Rh 0.2500 0.2500 0.2500
Rh4 Rh 0.3474 0.3474 0.6526
Rh5 Rh 0.3484 0.3484 0.1516
Rh6 Rh 0.4492 0.4492 0.0508
Rh7 Rh 0.4494 0.4494 0.5506
Rh8 Rh 0.5506 0.5506 0.4494
Rh9 Rh 0.5508 0.5508 0.9492
Rh10 Rh 0.6516 0.6516 0.8484
Rh11 Rh 0.6526 0.6526 0.3474
Rh12 Rh 0.7500 0.7500 0.7500
Rh13 Rh 0.8484 0.8484 0.6516
Rh14 Rh 0.9492 0.9492 0.5508
```

Largest 12 diffraction maxima, sorted by position, 10° ≤ 2θ ≤ 80°:
| 2θ/deg | I/Imax |
| --- | --- |
| 30.74 | 22.7 |
| 33.20 | 38.2 |
| 35.77 | 29.4 |
| 36.16 | 51.6 |
| 36.66 | 100.0 |
| 42.23 | 24.1 |
| 44.77 | 19.1 |
| 48.18 | 16.0 |
| 48.57 | 31.1 |
| 58.85 | 13.7 |
| 65.36 | 19.9 |
| 76.10 | 18.3 |

---

(10)
# TbB4Rh8
Calculated powder diffraction line list, a wavelength of 1.5418 Å. Input: a DFT-relaxed cell (PBE, Alexandria).
Peak positions follow from Bragg's law for the DFT cell and can differ from measured ones.

Atomic structure:
```
data_TbB4Rh8
_chemical_formula_sum 'Tb1 B4 Rh8'
_symmetry_space_group_name_H-M 'P 1'
_symmetry_Int_Tables_number 1
_cell_length_a 6.5597
_cell_length_b 6.5597
_cell_length_c 6.5597
_cell_angle_alpha 60.00
_cell_angle_beta 60.00
_cell_angle_gamma 60.00
loop_
_symmetry_equiv_pos_as_xyz
'x,y,z'
loop_
_atom_site_label
_atom_site_type_symbol
_atom_site_fract_x
_atom_site_fract_y
_atom_site_fract_z
Tb1 Tb 0.0000 0.0000 0.0000
B1 B 0.3815 0.3815 0.3815
B2 B 0.3815 0.3815 0.8555
B3 B 0.3815 0.8555 0.3815
B4 B 0.8555 0.3815 0.3815
Rh1 Rh 0.1510 0.1510 0.1510
Rh2 Rh 0.1510 0.1510 0.5470
Rh3 Rh 0.1510 0.5470 0.1510
Rh4 Rh 0.1681 0.6106 0.6106
Rh5 Rh 0.5470 0.1510 0.1510
Rh6 Rh 0.6106 0.1681 0.6106
Rh7 Rh 0.6106 0.6106 0.1681
Rh8 Rh 0.6106 0.6106 0.6106
```

Largest 12 diffraction maxima, sorted by position, 10° ≤ 2θ ≤ 80°:
| 2θ/deg | I/Imax |
| --- | --- |
| 16.55 | 18.3 |
| 27.19 | 21.5 |
| 32.00 | 16.4 |
| 33.46 | 100.0 |
| 38.83 | 32.7 |
| 42.47 | 31.9 |
| 43.63 | 9.5 |
| 51.17 | 40.2 |
| 56.08 | 40.8 |
| 66.90 | 22.6 |
| 72.81 | 13.7 |
| 79.33 | 11.5 |